The following is a theoretical PXRD pattern of SrC2O4. It was derived from a cell relaxed with GGA-PBE, using Cu Kα (weighted mean of Kα1 and Kα2).
Intensities are scaled so that the largest is 100.

Crystal structure
```
28
Lattice="6.8239 0.0000 0.0000 0.0000 7.6108 0.0000 0.0000 0.0000 9.0293" Properties=species:S:1:pos:R:3 pbc="T T T"
Sr 0.0232 1.8040 2.8682
Sr 3.3887 5.8068 7.3829
Sr 3.4352 2.0014 6.1610
Sr 6.8007 5.6094 1.6464
C 0.8851 0.3959 5.9963
C 1.5303 4.7575 4.6076
C 1.8816 2.8532 0.0929
C 2.5268 7.2148 1.4816
C 4.2971 3.4095 3.0330
C 4.9423 6.6586 4.4217
C 5.2936 0.9521 8.9364
C 5.9388 4.2013 7.5477
O 0.8679 4.1921 3.7087
O 0.9970 1.3462 5.1808
O 1.1342 3.2822 0.9996
O 1.6964 0.0022 6.8645
O 1.7156 7.6086 2.3499
O 2.2778 4.3285 5.5143
O 2.4150 6.2645 0.6662
O 2.5441 3.4186 8.2233
O 4.2798 7.2240 5.3206
O 4.4090 2.4592 3.8485
O 4.5462 0.5231 8.0297
O 5.1084 3.8032 2.1647
O 5.1276 3.8076 6.6794
O 5.6897 7.0876 3.5150
O 5.8269 5.1516 8.3631
O 5.9561 0.3867 0.8060
```

Most intense lines, 2θ = 10–90°, sorted by position:
| 2θ/deg | d/Å | I_rel | h k l |
| --- | --- | --- | --- |
| 15.2 | 5.819 | 20 | 0 1 1 |
| 16.3 | 5.444 | 100 | 1 0 1 |
| 26.4 | 3.375 | 35 | 1 1 2 |
| 28.6 | 3.119 | 57 | 1 2 1 |
| 30.4 | 2.943 | 19 | 2 1 1 |
| 32.0 | 2.799 | 23 | 0 1 3 |
| 35.3 | 2.540 | 26 | 2 2 0 |
| 41.7 | 2.164 | 21 | 2 1 3 |
| 43.0 | 2.104 | 19 | 1 3 2 |
| 43.9 | 2.063 | 24 | 1 1 4 |